The following is a computed XRD peak list of LiVFeP2O8F2. It was derived from DFT lattice parameters and positions (PBE+U), using a wavelength of 1.5418 Å.
Kinematic intensities with the Lorentz-polarization factor, no thermal factor.

Atomic structure:
Cell: 5.1554 5.3505 7.3795 Å, 109.58 105.96 97.01°
Fractional coordinates of all 15 atoms:
Li  0.0000  0.0000  0.0000
V  0.0733  0.4332  0.8233
Fe  0.5822  0.9354  0.3332
P  0.5073  0.5535  0.5852
P  0.6382  0.3192  0.0711
O  0.3195  0.2314  0.9531
O  0.3342  0.5636  0.7337
O  0.4331  0.2619  0.4276
O  0.4358  0.7629  0.4941
O  0.7270  0.1093  0.1622
O  0.7269  0.6152  0.2223
O  0.8025  0.2880  0.9155
O  0.8171  0.6458  0.7303
F  0.2140  0.7594  0.0848
F  0.9345  0.1180  0.5704

Peak list (12 most intense, 10 to 90 degrees two-theta, low angle first)
- 2θ 17.9, I 486
- 2θ 18.4, I 516
- 2θ 18.8, I 677
- 2θ 22.6, I 343
- 2θ 26.0, I 269
- 2θ 26.4, I 809
- 2θ 26.6, I 975
- 2θ 26.9, I 328
- 2θ 29.2, I 1000
- 2θ 35.1, I 264
- 2θ 36.7, I 364
- 2θ 55.8, I 237